Diffraction record for Fe3Ni13. The powder diffractogram is calculated, not measured: it uses a DFT-relaxed cell (GGA-PBE, Alexandria) and Cu Kα X-rays.
Kinematic intensities with the Lorentz-polarization factor, no thermal factor.

Atomic structure:
Unit cell a=5.005 b=5.005 c=8.150 alpha=90.00 beta=90.00 gamma=120.00
Fractional positions:
Fe: 0.000 0.000 0.000
Fe: 0.667 0.333 0.250
Fe: 0.667 0.333 0.750
Ni: 0.004 0.502 0.000
Ni: 0.167 0.333 0.249
Ni: 0.167 0.333 0.751
Ni: 0.167 0.833 0.249
Ni: 0.167 0.833 0.751
Ni: 0.329 0.165 0.500
Ni: 0.333 0.667 0.500
Ni: 0.498 0.502 0.000
Ni: 0.498 0.996 0.000
Ni: 0.667 0.833 0.249
Ni: 0.667 0.833 0.751
Ni: 0.835 0.165 0.500
Ni: 0.835 0.671 0.500

Largest 9 diffraction maxima, in order of rising 2θ, 2θ = 10–90°:
- 2θ = 41.68°, rel. 8
- 2θ = 43.20°, rel. 45
- 2θ = 44.46°, rel. 37
- 2θ = 47.52°, rel. 100
- 2θ = 54.14°, rel. 22
- 2θ = 62.57°, rel. 4
- 2θ = 72.57°, rel. 9
- 2θ = 76.07°, rel. 20
- 2θ = 84.10°, rel. 17

---

Diffraction record for Fe7Ni5. The powder diffractogram is calculated, not measured: it uses a DFT-relaxed cell (GGA-PBE, Alexandria) and Cu Kα X-rays.
Kinematic intensities with the Lorentz-polarization factor, no thermal factor.

Atomic structure:
Unit cell a=8.166 b=8.166 c=3.432 alpha=90.00 beta=90.00 gamma=142.94
Fractional positions:
Fe: 0.000 0.000 0.000
Fe: 0.167 0.336 0.500
Fe: 0.171 0.829 0.000
Fe: 0.336 0.167 0.500
Fe: 0.664 0.833 0.500
Fe: 0.829 0.171 0.000
Fe: 0.833 0.664 0.500
Ni: 0.000 0.500 0.500
Ni: 0.335 0.665 0.000
Ni: 0.500 0.000 0.500
Ni: 0.500 0.500 0.000
Ni: 0.665 0.335 0.000

Largest 10 diffraction maxima, in order of rising 2θ, 2θ = 10–90°:
- 2θ = 11.43°, rel. 1
- 2θ = 43.74°, rel. 100
- 2θ = 43.89°, rel. 98
- 2θ = 49.83°, rel. 66
- 2θ = 53.40°, rel. 27
- 2θ = 72.91°, rel. 10
- 2θ = 73.37°, rel. 9
- 2θ = 76.04°, rel. 34
- 2θ = 89.17°, rel. 22
- 2θ = 89.50°, rel. 21